[1]
Theoretical PXRD pattern
Compound: AlBH6Pd
Radiation: Cu Kα, 1.54184 Å
Structure: DFT lattice parameters and positions (GGA-PBE)
Kinematic intensities with the Lorentz-polarization factor, no thermal factor.

Principal peaks in the range 10° ≤ 2θ ≤ 90°, low angle first:
d/Å, two_theta, I (rel.), index
3.622, 24.58, 100, 1 1 1
3.137, 28.45, 26, 2 0 0
2.218, 40.67, 67, 2 2 0
1.892, 48.10, 50, 3 1 1
1.439, 64.77, 21, 3 3 1
1.281, 74.02, 22, 4 2 2

Cell and atoms:
```
data_AlBH6Pd
_cell_length_a 6.274
_cell_length_b 6.274
_cell_length_c 6.274
_cell_angle_alpha 90.00
_cell_angle_beta 90.00
_cell_angle_gamma 90.00
_symmetry_space_group_name_H-M 'F -4 3 m'
_symmetry_Int_Tables_number 216
_symmetry_space_group_name_Hall 'F -4 2 3'
loop_
_atom_site_label
_atom_site_fract_x
_atom_site_fract_y
_atom_site_fract_z
Al1 0.000 0.000 0.000
B1 0.000 0.000 0.500
H1 0.038 0.250 0.250
Pd1 0.250 0.250 0.750
```


[2]
Theoretical PXRD pattern
Compound: Ho2Sn5
Radiation: Cu Kα, 1.54184 Å
Structure: DFT lattice parameters and positions (GGA-PBE)
Kinematic intensities with the Lorentz-polarization factor, no thermal factor.

Principal peaks in the range 10° ≤ 2θ ≤ 90°, low angle first:
d/Å, two_theta, I (rel.), index
2.788, 32.10, 100, 1 1 3
2.719, 32.94, 47, 0 0 7
2.600, 34.50, 95, 1 1 4
2.213, 40.77, 35, 0 2 0
2.177, 41.47, 34, 2 0 0
1.348, 69.77, 34, 2 2 7

Cell and atoms:
```
data_Ho2Sn5
_cell_length_a 4.355
_cell_length_b 4.427
_cell_length_c 19.033
_cell_angle_alpha 90.00
_cell_angle_beta 90.00
_cell_angle_gamma 90.00
_symmetry_space_group_name_H-M 'P m m n'
_symmetry_Int_Tables_number 59
loop_
_symmetry_equiv_pos_as_xyz
'x,y,z'
'-x,-y,-z'
'-x+1/2,-y+1/2,z'
'x+1/2,y+1/2,-z'
'x+1/2,-y,-z'
'-x+1/2,y,z'
'-x,y+1/2,-z'
'x,-y+1/2,z'
loop_
_atom_site_label
_atom_site_fract_x
_atom_site_fract_y
_atom_site_fract_z
Ho1 0.250 0.250 0.130
Ho2 0.250 0.750 0.700
Sn1 0.250 0.250 0.424
Sn2 0.250 0.250 0.577
Sn3 0.250 0.250 0.842
Sn4 0.250 0.750 0.002
Sn5 0.250 0.750 0.267
```


[3]
Theoretical PXRD pattern
Compound: Cs2PdPbCl6
Radiation: Cu Kα, 1.54184 Å
Structure: DFT lattice parameters and positions (GGA-PBE)
Kinematic intensities with the Lorentz-polarization factor, no thermal factor.

Principal peaks in the range 10° ≤ 2θ ≤ 90°, low angle first:
d/Å, two_theta, I (rel.), index
3.788, 23.49, 100, 1 1 2
3.767, 23.62, 51, 2 0 0
2.694, 33.26, 26, 0 0 4
2.663, 33.65, 49, 2 2 0
2.179, 41.44, 47, 1 3 2
1.894, 48.04, 34, 2 2 4

Cell and atoms:
```
data_Cs2PdPbCl6
_cell_length_a 7.533
_cell_length_b 7.533
_cell_length_c 10.774
_cell_angle_alpha 90.00
_cell_angle_beta 90.00
_cell_angle_gamma 90.00
_symmetry_space_group_name_H-M 'I 4/m'
_symmetry_Int_Tables_number 87
_symmetry_space_group_name_Hall '-I 4'
loop_
_atom_site_label
_atom_site_fract_x
_atom_site_fract_y
_atom_site_fract_z
Cs1 0.000 0.500 0.250
Pd1 0.000 0.000 0.000
Pb1 0.000 0.000 0.500
Cl1 0.000 0.000 0.238
Cl2 0.217 0.255 0.000
```


[4]
Theoretical PXRD pattern
Compound: NdSiAs3Ir6
Radiation: Cu Kα, 1.54184 Å
Structure: DFT lattice parameters and positions (GGA-PBE)
Kinematic intensities with the Lorentz-polarization factor, no thermal factor.

Principal peaks in the range 10° ≤ 2θ ≤ 90°, low angle first:
d/Å, two_theta, I (rel.), index
2.446, 36.74, 100, 2 0 1
2.357, 38.19, 19, 2 1 0
2.078, 43.55, 18, 3 0 0
2.023, 44.80, 33, 2 1 1
1.972, 46.01, 21, 0 0 2
1.800, 50.72, 19, 2 2 0

Cell and atoms:
```
data_NdSiAs3Ir6
_cell_length_a 7.1994
_cell_length_b 7.1994
_cell_length_c 3.9449
_cell_angle_alpha 90.00
_cell_angle_beta 90.00
_cell_angle_gamma 120.00
_symmetry_space_group_name_H-M 'P -6 m 2'
_symmetry_Int_Tables_number 187
_symmetry_space_group_name_Hall 'P -6 2'
loop_
_atom_site_label
_atom_site_fract_x
_atom_site_fract_y
_atom_site_fract_z
Nd1 0.0000 0.0000 0.0000
Si1 0.3333 0.6667 0.0000
As1 0.3833 0.1917 0.5000
Ir1 0.2020 0.4040 0.5000
Ir2 0.5290 0.0580 0.0000
```


Q: What is the formula in the third record?
A: Cs2PdPbCl6